Record 1
Simulated powder X-ray diffraction pattern of Ho3Tm3Pt2 for Cu Kα (weighted mean of Kα1 and Kα2), from the PBE geometry in Alexandria.
Peak positions follow from Bragg's law for the DFT cell and can differ from measured ones.

Structural model:
```
data_Ho3Tm3Pt2
_chemical_formula_sum 'Ho12 Tm12 Pt8'
_cell_length_a 3.750
_cell_length_b 13.070
_cell_length_c 18.140
_cell_angle_alpha 90.00
_cell_angle_beta 90.00
_cell_angle_gamma 90.00
_space_group_name_H-M_alt 'C m c m'
_space_group_IT_number 63
_space_group_name_Hall '-C 2c 2'
loop_
_atom_site_label
_atom_site_type_symbol
_atom_site_fract_x
_atom_site_fract_y
_atom_site_fract_z
Ho1 Ho 0.000 0.057 0.087
Ho2 Ho 0.000 0.288 0.250
Tm1 Tm 0.000 0.330 0.056
Tm2 Tm 0.000 0.436 0.750
Pt1 Pt 0.000 0.290 0.635
```

Largest 6 diffraction maxima, most intense first, 5° ≤ 2θ ≤ 70°:
(1 1 5), d = 2.557 Å, 2θ 35.1, I 1000; (1 3 3), d = 2.572 Å, 2θ 34.9, I 889; (0 4 5), d = 2.428 Å, 2θ 37.0, I 774; (1 3 0), d = 2.842 Å, 2θ 31.5, I 740; (0 2 0), d = 6.535 Å, 2θ 13.5, I 380; (2 4 5), d = 1.484 Å, 2θ 62.6, I 339


Record 2
Simulated powder X-ray diffraction pattern of Ho2Tm2Pt3 for Cu Kα (weighted mean of Kα1 and Kα2), from the PBE geometry in Alexandria.
Peak positions follow from Bragg's law for the DFT cell and can differ from measured ones.

Structural model:
```
data_Ho2Tm2Pt3
_chemical_formula_sum 'Ho8 Tm8 Pt12'
_cell_length_a 8.649
_cell_length_b 8.649
_cell_length_c 8.649
_cell_angle_alpha 90.00
_cell_angle_beta 90.00
_cell_angle_gamma 90.00
_space_group_name_H-M_alt 'I 21 3'
_space_group_IT_number 199
_space_group_name_Hall 'I 2b 2c 3'
loop_
_atom_site_label
_atom_site_type_symbol
_atom_site_fract_x
_atom_site_fract_y
_atom_site_fract_z
Ho1 Ho 0.186 0.186 0.186
Tm1 Tm 0.064 0.436 0.564
Pt1 Pt 0.000 0.250 0.872
```

Largest 6 diffraction maxima, most intense first, 5° ≤ 2θ ≤ 70°:
(3 0 1), d = 2.735 Å, 2θ 32.7, I 1000; (3 1 2), d = 2.312 Å, 2θ 39.0, I 554; (6 1 1), d = 1.403 Å, 2θ 66.7, I 256; (4 3 1), d = 1.696 Å, 2θ 54.1, I 240; (4 2 0), d = 1.934 Å, 2θ 47.0, I 150; (3 3 2), d = 1.844 Å, 2θ 49.4, I 121


Record 3
Simulated powder X-ray diffraction pattern of HoTmZnPt for Cu Kα (weighted mean of Kα1 and Kα2), from the PBE geometry in Alexandria.
Peak positions follow from Bragg's law for the DFT cell and can differ from measured ones.

Structural model:
```
data_HoTmZnPt
_chemical_formula_sum 'Ho4 Tm4 Zn4 Pt4'
_cell_length_a 6.985
_cell_length_b 6.985
_cell_length_c 6.985
_cell_angle_alpha 90.00
_cell_angle_beta 90.00
_cell_angle_gamma 90.00
_space_group_name_H-M_alt 'F -4 3 m'
_space_group_IT_number 216
_space_group_name_Hall 'F -4 2 3'
loop_
_atom_site_label
_atom_site_type_symbol
_atom_site_fract_x
_atom_site_fract_y
_atom_site_fract_z
Ho1 Ho 0.000 0.000 0.000
Tm1 Tm 0.000 0.000 0.500
Zn1 Zn 0.250 0.250 0.250
Pt1 Pt 0.250 0.250 0.750
```

Largest 6 diffraction maxima, most intense first, 5° ≤ 2θ ≤ 70°:
(2 2 0), d = 2.469 Å, 2θ 36.4, I 1000; (4 2 2), d = 1.426 Å, 2θ 65.5, I 361; (4 0 0), d = 1.746 Å, 2θ 52.4, I 177; (1 1 1), d = 4.033 Å, 2θ 22.0, I 95; (3 1 1), d = 2.106 Å, 2θ 42.9, I 52; (3 3 1), d = 1.602 Å, 2θ 57.5, I 23


Record 4
Simulated powder X-ray diffraction pattern of YHo3Pt2 for Cu Kα (weighted mean of Kα1 and Kα2), from the PBE geometry in Alexandria.
Peak positions follow from Bragg's law for the DFT cell and can differ from measured ones.

Structural model:
```
data_YHo3Pt2
_chemical_formula_sum 'Y4 Ho12 Pt8'
_cell_length_a 6.885
_cell_length_b 13.635
_cell_length_c 7.065
_cell_angle_alpha 90.00
_cell_angle_beta 90.00
_cell_angle_gamma 90.00
_space_group_name_H-M_alt 'I b a m'
_space_group_IT_number 72
_space_group_name_Hall '-I 2 2c'
loop_
_atom_site_label
_atom_site_type_symbol
_atom_site_fract_x
_atom_site_fract_y
_atom_site_fract_z
Y1 Y 0.000 0.000 0.000
Ho1 Ho 0.000 0.236 0.250
Ho2 Ho 0.000 0.500 0.250
Pt1 Pt 0.209 0.359 0.000
```

Largest 6 diffraction maxima, most intense first, 5° ≤ 2θ ≤ 70°:
(1 2 1), d = 3.995 Å, 2θ 22.3, I 1000; (2 4 0), d = 2.422 Å, 2θ 37.1, I 779; (2 0 2), d = 2.466 Å, 2θ 36.4, I 581; (0 4 2), d = 2.453 Å, 2θ 36.6, I 574; (1 3 2), d = 2.585 Å, 2θ 34.7, I 440; (2 4 4), d = 1.427 Å, 2θ 65.4, I 339


Record 5
Simulated powder X-ray diffraction pattern of YHoPt for Cu Kα (weighted mean of Kα1 and Kα2), from the PBE geometry in Alexandria.
Peak positions follow from Bragg's law for the DFT cell and can differ from measured ones.

Structural model:
```
data_YHoPt
_chemical_formula_sum 'Y2 Ho2 Pt2'
_cell_length_a 5.349
_cell_length_b 4.537
_cell_length_c 7.228
_cell_angle_alpha 90.00
_cell_angle_beta 108.41
_cell_angle_gamma 90.00
_space_group_name_H-M_alt 'P 1 21/m 1'
_space_group_IT_number 11
_space_group_name_Hall '-P 2yb'
loop_
_atom_site_label
_atom_site_type_symbol
_atom_site_fract_x
_atom_site_fract_y
_atom_site_fract_z
Y1 Y 0.235 0.250 0.434
Ho1 Ho 0.239 0.250 0.948
Pt1 Pt 0.319 0.750 0.212
```

Largest 6 diffraction maxima, most intense first, 5° ≤ 2θ ≤ 70°:
(1 1 -2), d = 2.710 Å, 2θ 33.1, I 1000; (0 1 1), d = 3.784 Å, 2θ 23.5, I 921; (1 1 2), d = 2.189 Å, 2θ 41.2, I 718; (0 1 2), d = 2.736 Å, 2θ 32.7, I 633; (2 1 -2), d = 2.150 Å, 2θ 42.0, I 584; (0 2 0), d = 2.269 Å, 2θ 39.7, I 581


Record 6
Simulated powder X-ray diffraction pattern of Ho3Zn3Pt for Cu Kα (weighted mean of Kα1 and Kα2), from the PBE geometry in Alexandria.
Peak positions follow from Bragg's law for the DFT cell and can differ from measured ones.

Structural model:
```
data_Ho3Zn3Pt
_chemical_formula_sum 'Ho6 Zn6 Pt2'
_cell_length_a 3.646
_cell_length_b 4.453
_cell_length_c 18.889
_cell_angle_alpha 90.00
_cell_angle_beta 90.00
_cell_angle_gamma 90.00
_space_group_name_H-M_alt 'I m m 2'
_space_group_IT_number 44
_space_group_name_Hall 'I 2 -2'
loop_
_atom_site_label
_atom_site_type_symbol
_atom_site_fract_x
_atom_site_fract_y
_atom_site_fract_z
Ho1 Ho 0.000 0.000 0.000
Ho2 Ho 0.000 0.000 0.377
Ho3 Ho 0.000 0.500 0.202
Zn1 Zn 0.000 0.000 0.553
Zn2 Zn 0.000 0.000 0.837
Zn3 Zn 0.000 0.500 0.625
Pt1 Pt 0.000 0.500 0.760
```

Largest 6 diffraction maxima, most intense first, 5° ≤ 2θ ≤ 70°:
(1 1 2), d = 2.703 Å, 2θ 33.1, I 1000; (1 0 5), d = 2.623 Å, 2θ 34.2, I 510; (0 1 7), d = 2.308 Å, 2θ 39.0, I 411; (0 2 0), d = 2.227 Å, 2θ 40.5, I 315; (1 2 5), d = 1.698 Å, 2θ 54.0, I 278; (0 0 2), d = 9.444 Å, 2θ 9.4, I 243


Record 7
Simulated powder X-ray diffraction pattern of Ho3Zn2Pt6 for Cu Kα (weighted mean of Kα1 and Kα2), from the PBE geometry in Alexandria.
Peak positions follow from Bragg's law for the DFT cell and can differ from measured ones.

Structural model:
```
data_Ho3Zn2Pt6
_chemical_formula_sum 'Ho12 Zn8 Pt24'
_cell_length_a 9.516
_cell_length_b 9.516
_cell_length_c 9.516
_cell_angle_alpha 90.00
_cell_angle_beta 90.00
_cell_angle_gamma 90.00
_space_group_name_H-M_alt 'I m -3 m'
_space_group_IT_number 229
_space_group_name_Hall '-I 4 2 3'
loop_
_atom_site_label
_atom_site_type_symbol
_atom_site_fract_x
_atom_site_fract_y
_atom_site_fract_z
Ho1 Ho 0.000 0.000 0.305
Zn1 Zn 0.250 0.250 0.250
Pt1 Pt 0.000 0.328 0.328
```

Largest 6 diffraction maxima, most intense first, 5° ≤ 2θ ≤ 70°:
(3 3 0), d = 2.243 Å, 2θ 40.2, I 1000; (1 1 0), d = 6.729 Å, 2θ 13.2, I 293; (3 2 1), d = 2.543 Å, 2θ 35.3, I 245; (6 0 0), d = 1.586 Å, 2θ 58.2, I 132; (5 3 2), d = 1.544 Å, 2θ 59.9, I 128; (3 1 0), d = 3.009 Å, 2θ 29.7, I 127


Record 8
Simulated powder X-ray diffraction pattern of HoZn3Pt3 for Cu Kα (weighted mean of Kα1 and Kα2), from the PBE geometry in Alexandria.
Peak positions follow from Bragg's law for the DFT cell and can differ from measured ones.

Structural model:
```
data_HoZn3Pt3
_chemical_formula_sum 'Ho2 Zn6 Pt6'
_cell_length_a 6.795
_cell_length_b 6.795
_cell_length_c 6.795
_cell_angle_alpha 90.00
_cell_angle_beta 90.00
_cell_angle_gamma 90.00
_space_group_name_H-M_alt 'P m -3 n'
_space_group_IT_number 223
_space_group_name_Hall '-P 4n 2 3'
loop_
_atom_site_label
_atom_site_type_symbol
_atom_site_fract_x
_atom_site_fract_y
_atom_site_fract_z
Ho1 Ho 0.000 0.000 0.000
Zn1 Zn 0.000 0.250 0.500
Pt1 Pt 0.000 0.500 0.250
```

Largest 6 diffraction maxima, most intense first, 5° ≤ 2θ ≤ 70°:
(2 1 1), d = 2.774 Å, 2θ 32.3, I 1000; (3 2 1), d = 1.816 Å, 2θ 50.2, I 581; (2 0 0), d = 3.398 Å, 2θ 26.2, I 425; (2 1 0), d = 3.039 Å, 2θ 29.4, I 398; (4 0 0), d = 1.699 Å, 2θ 54.0, I 293; (2 2 2), d = 1.962 Å, 2θ 46.3, I 266


Record 9
Simulated powder X-ray diffraction pattern of HoZn12Pt4 for Cu Kα (weighted mean of Kα1 and Kα2), from the PBE geometry in Alexandria.
Peak positions follow from Bragg's law for the DFT cell and can differ from measured ones.

Structural model:
```
data_HoZn12Pt4
_chemical_formula_sum 'Ho2 Zn24 Pt8'
_cell_length_a 8.699
_cell_length_b 8.699
_cell_length_c 8.699
_cell_angle_alpha 90.00
_cell_angle_beta 90.00
_cell_angle_gamma 90.00
_space_group_name_H-M_alt 'I m -3'
_space_group_IT_number 204
_space_group_name_Hall '-I 2 2 3'
loop_
_atom_site_label
_atom_site_type_symbol
_atom_site_fract_x
_atom_site_fract_y
_atom_site_fract_z
Ho1 Ho 0.000 0.000 0.000
Zn1 Zn 0.000 0.351 0.151
Pt1 Pt 0.250 0.250 0.250
```

Largest 6 diffraction maxima, most intense first, 5° ≤ 2θ ≤ 70°:
(2 2 0), d = 3.076 Å, 2θ 29.0, I 1000; (4 2 2), d = 1.776 Å, 2θ 51.5, I 823; (3 0 1), d = 2.751 Å, 2θ 32.5, I 740; (4 0 2), d = 1.945 Å, 2θ 46.7, I 659; (2 0 0), d = 4.350 Å, 2θ 20.4, I 465; (3 1 2), d = 2.325 Å, 2θ 38.7, I 374


Record 10
Simulated powder X-ray diffraction pattern of Ho5Pu for Cu Kα (weighted mean of Kα1 and Kα2), from the PBE geometry in Alexandria.
Peak positions follow from Bragg's law for the DFT cell and can differ from measured ones.

Structural model:
```
data_Ho5Pu
_chemical_formula_sum 'Ho10 Pu2'
_cell_length_a 11.646
_cell_length_b 3.487
_cell_length_c 9.893
_cell_angle_alpha 90.00
_cell_angle_beta 115.37
_cell_angle_gamma 90.00
_space_group_name_H-M_alt 'C 1 2/m 1'
_space_group_IT_number 12
_space_group_name_Hall '-C 2y'
loop_
_atom_site_label
_atom_site_type_symbol
_atom_site_fract_x
_atom_site_fract_y
_atom_site_fract_z
Ho1 Ho 0.000 0.000 0.000
Ho2 Ho 0.165 0.500 0.337
Ho3 Ho 0.166 0.500 0.829
Pu1 Pu 0.000 0.000 0.500
```

Largest 6 diffraction maxima, most intense first, 5° ≤ 2θ ≤ 70°:
(2 0 2), d = 2.852 Å, 2θ 31.4, I 1000; (3 1 0), d = 2.473 Å, 2θ 36.3, I 677; (4 0 -2), d = 2.867 Å, 2θ 31.2, I 338; (6 0 0), d = 1.752 Å, 2θ 52.2, I 242; (0 2 0), d = 1.745 Å, 2θ 52.4, I 239; (2 2 2), d = 1.489 Å, 2θ 62.4, I 237


Record 11
Simulated powder X-ray diffraction pattern of Ho5PuRh6 for Cu Kα (weighted mean of Kα1 and Kα2), from the PBE geometry in Alexandria.
Peak positions follow from Bragg's law for the DFT cell and can differ from measured ones.

Structural model:
```
data_Ho5PuRh6
_chemical_formula_sum 'Ho10 Pu2 Rh12'
_cell_length_a 4.783
_cell_length_b 14.387
_cell_length_c 6.947
_cell_angle_alpha 90.00
_cell_angle_beta 90.00
_cell_angle_gamma 90.00
_space_group_name_H-M_alt 'C m m m'
_space_group_IT_number 65
_space_group_name_Hall '-C 2 2'
loop_
_atom_site_label
_atom_site_type_symbol
_atom_site_fract_x
_atom_site_fract_y
_atom_site_fract_z
Ho1 Ho 0.000 0.000 0.000
Ho2 Ho 0.000 0.333 0.000
Ho3 Ho 0.000 0.333 0.500
Pu1 Pu 0.000 0.000 0.500
Rh1 Rh 0.000 0.166 0.249
Rh2 Rh 0.000 0.500 0.250
```

Largest 6 diffraction maxima, most intense first, 5° ≤ 2θ ≤ 70°:
(1 3 2), d = 2.425 Å, 2θ 37.1, I 1000; (2 0 0), d = 2.395 Å, 2θ 37.6, I 482; (2 0 4), d = 1.406 Å, 2θ 66.5, I 180; (1 9 2), d = 1.390 Å, 2θ 67.4, I 173; (3 3 2), d = 1.387 Å, 2θ 67.5, I 172; (2 6 0), d = 1.693 Å, 2θ 54.2, I 168


Record 12
Simulated powder X-ray diffraction pattern of Ho4PuS7 for Cu Kα (weighted mean of Kα1 and Kα2), from the PBE geometry in Alexandria.
Peak positions follow from Bragg's law for the DFT cell and can differ from measured ones.

Structural model:
```
data_Ho4PuS7
_chemical_formula_sum 'Ho8 Pu2 S14'
_cell_length_a 12.819
_cell_length_b 3.814
_cell_length_c 11.629
_cell_angle_alpha 90.00
_cell_angle_beta 104.57
_cell_angle_gamma 90.00
_space_group_name_H-M_alt 'C 1 m 1'
_space_group_IT_number 8
_space_group_name_Hall 'C -2y'
loop_
_atom_site_label
_atom_site_type_symbol
_atom_site_fract_x
_atom_site_fract_y
_atom_site_fract_z
Ho1 Ho 0.000 0.000 0.000
Ho2 Ho 0.083 0.500 0.390
Ho3 Ho 0.188 0.000 0.768
Ho4 Ho 0.386 0.500 0.579
Pu1 Pu 0.270 0.500 0.156
S1 S 0.045 0.500 0.629
S2 S 0.122 0.500 0.925
S3 S 0.142 0.000 0.229
S4 S 0.227 0.000 0.529
S5 S 0.344 0.500 0.793
S6 S 0.385 0.000 0.074
S7 S 0.429 0.500 0.367
```

Largest 6 diffraction maxima, most intense first, 5° ≤ 2θ ≤ 70°:
(2 0 -3), d = 3.643 Å, 2θ 24.4, I 1000; (2 0 2), d = 3.727 Å, 2θ 23.9, I 799; (3 1 -2), d = 2.700 Å, 2θ 33.2, I 475; (4 0 -1), d = 3.204 Å, 2θ 27.8, I 378; (1 1 1), d = 3.396 Å, 2θ 26.2, I 372; (3 1 -1), d = 2.836 Å, 2θ 31.5, I 371